# PuHfH4
Calculated X-ray powder pattern, Cu Kα (weighted mean of Kα1 and Kα2). Input: the GGA-PBE geometry in Alexandria.

Most intense lines, 15° ≤ 2θ ≤ 90°, low angle first:
d (Å)  2θ/deg  I (rel.)  (hkl)
2.866  31.2  100.0  1 1 2
2.547  35.2  17.7  0 2 0
2.514  35.7  17.1  2 0 0
2.393  37.6  14.9  0 0 4
1.789  51.0  13.5  2 2 0
1.744  52.5  12.2  0 2 4
1.525  60.7  15.5  1 3 2
1.511  61.4  15.1  3 1 2
1.457  63.9  13.3  1 1 6
1.433  65.1  12.5  2 2 4

Structural model:
a = 5.0287 Å, b = 5.0943 Å, c = 9.5705 Å
α = 90.00°, β = 90.00°, γ = 90.00°
Space group Imma (No. 74)
One atom of each set of equivalent atoms:
Pu 0.0000 0.2500 0.1267 [4 per cell]
Hf 0.0000 0.2500 0.6240 [4 per cell]
H 0.2210 0.0000 0.5000 [8 per cell]
H 0.2500 0.0332 0.7500 [8 per cell]